For CsRb2ICl4, the GGA-PBE geometry in Alexandria gives the calculated X-ray diffraction stick pattern in this record (Cu Kα).

Crystal structure
```
data_CsRb2ICl4
_chemical_formula_sum 'Cs2 Rb4 I2 Cl8'
_cell_length_a 9.9246
_cell_length_b 9.9246
_cell_length_c 9.3433
_cell_angle_alpha 114.70
_cell_angle_beta 114.70
_cell_angle_gamma 99.53
_space_group_name_H-M_alt 'P 1'
_space_group_IT_number 1
_space_group_name_Hall 'P 1'
loop_
_atom_site_label
_atom_site_type_symbol
_atom_site_fract_x
_atom_site_fract_y
_atom_site_fract_z
Cs1 Cs 0.0000 0.0000 0.0000
Cs2 Cs 0.0000 0.0000 0.5000
Rb1 Rb 0.0000 0.5000 0.0000
Rb2 Rb 0.5000 0.0000 0.5000
Rb3 Rb 0.5000 0.5000 0.0000
Rb4 Rb 0.5000 0.5000 0.5000
I1 I 0.0000 0.5000 0.5000
I2 I 0.5000 0.0000 0.0000
Cl1 Cl 0.1852 0.6724 0.4539
Cl2 Cl 0.2179 0.3013 0.0070
Cl3 Cl 0.3013 0.2179 0.5070
Cl4 Cl 0.3276 0.8148 0.0461
Cl5 Cl 0.6724 0.1852 0.9539
Cl6 Cl 0.6987 0.7821 0.4930
Cl7 Cl 0.7821 0.6987 0.9930
Cl8 Cl 0.8148 0.3276 0.5461
```

Most intense lines, 10° ≤ 2θ ≤ 80°, most intense first:
23.5°, rel. 100
25.0°, rel. 94
21.6°, rel. 83
36.8°, rel. 76
34.6°, rel. 68
22.5°, rel. 64
27.9°, rel. 62
45.8°, rel. 30
38.8°, rel. 29
40.2°, rel. 28

For Cs2SICl6, the GGA-PBE geometry in Alexandria gives the calculated X-ray diffraction stick pattern in this record (Cu Kα).

Crystal structure
```
data_Cs2SICl6
_chemical_formula_sum 'Cs2 S1 I1 Cl6'
_cell_length_a 7.8018
_cell_length_b 7.8018
_cell_length_c 7.8018
_cell_angle_alpha 117.41
_cell_angle_beta 117.41
_cell_angle_gamma 94.55
_space_group_name_H-M_alt 'P 1'
_space_group_IT_number 1
_space_group_name_Hall 'P 1'
loop_
_atom_site_label
_atom_site_type_symbol
_atom_site_fract_x
_atom_site_fract_y
_atom_site_fract_z
Cs1 Cs 0.2500 0.7500 0.5000
Cs2 Cs 0.7500 0.2500 0.5000
S1 S 0.0000 0.0000 0.0000
I1 I 0.5000 0.5000 0.0000
Cl1 Cl 0.2035 0.2035 0.4071
Cl2 Cl 0.2035 0.7965 0.0000
Cl3 Cl 0.2532 0.2532 0.0000
Cl4 Cl 0.7468 0.7468 0.0000
Cl5 Cl 0.7965 0.2035 0.0000
Cl6 Cl 0.7965 0.7965 0.5929
```

Most intense lines, 10° ≤ 2θ ≤ 80°, most intense first:
22.9°, rel. 100
31.2°, rel. 62
21.9°, rel. 59
27.7°, rel. 43
39.0°, rel. 38
46.7°, rel. 38
33.9°, rel. 28
40.7°, rel. 23
26.0°, rel. 19
44.7°, rel. 19

For Cs5U2S4ICl8, the GGA-PBE geometry in Alexandria gives the calculated X-ray diffraction stick pattern in this record (Cu Kα).

Crystal structure
```
data_Cs5U2S4ICl8
_chemical_formula_sum 'Cs5 U2 S4 I1 Cl8'
_cell_length_a 11.0414
_cell_length_b 11.0414
_cell_length_c 11.0414
_cell_angle_alpha 138.77
_cell_angle_beta 121.39
_cell_angle_gamma 74.17
_space_group_name_H-M_alt 'P 1'
_space_group_IT_number 1
_space_group_name_Hall 'P 1'
loop_
_atom_site_label
_atom_site_type_symbol
_atom_site_fract_x
_atom_site_fract_y
_atom_site_fract_z
Cs1 Cs 0.0000 0.0000 0.0000
Cs2 Cs 0.0771 0.3361 0.7411
Cs3 Cs 0.4050 0.6639 0.7411
Cs4 Cs 0.5950 0.3361 0.2589
Cs5 Cs 0.9229 0.6639 0.2589
U1 U 0.3930 0.8930 0.5000
U2 U 0.6070 0.1070 0.5000
S1 S 0.4047 0.2323 0.6370
S2 S 0.4047 0.7677 0.1724
S3 S 0.5953 0.2323 0.8276
S4 S 0.5953 0.7677 0.3630
I1 I 0.0000 0.5000 0.5000
Cl1 Cl 0.1124 0.8640 0.2484
Cl2 Cl 0.2833 0.0229 0.7396
Cl3 Cl 0.2833 0.5437 0.2604
Cl4 Cl 0.3843 0.1360 0.2484
Cl5 Cl 0.6157 0.8640 0.7516
Cl6 Cl 0.7167 0.4563 0.7396
Cl7 Cl 0.7167 0.9771 0.2604
Cl8 Cl 0.8876 0.1360 0.7516
```

Most intense lines, 10° ≤ 2θ ≤ 80°, most intense first:
14.0°, rel. 100
20.6°, rel. 95
22.9°, rel. 80
35.4°, rel. 77
25.2°, rel. 74
30.1°, rel. 67
19.3°, rel. 57
33.2°, rel. 52
40.7°, rel. 51
17.2°, rel. 44